Structure and simulated powder diffractogram of CsTePPdI (a DFT-relaxed cell (PBE, Alexandria); Cu Kα).
Intensities are scaled so that the largest is 100.

Peak list (10 most intense, 10 to 80 degrees two-theta, by intensity)
2θ (°), I/Imax
24.97, 100.0
26.28, 81.2
36.56, 73.5
19.00, 37.3
13.75, 33.5
49.33, 33.2
37.37, 29.8
50.39, 28.4
27.70, 22.6
42.20, 22.2

Atomic structure:
```
data_CsTePPdI
_chemical_formula_sum 'Cs1 Te1 P1 Pd1 I1'
_symmetry_space_group_name_H-M 'P m m 2'
_symmetry_Int_Tables_number 25
_cell_length_a 4.283
_cell_length_b 6.782
_cell_length_c 6.441
_cell_angle_alpha 90.00
_cell_angle_beta 90.00
_cell_angle_gamma 90.00
loop_
_symmetry_equiv_pos_as_xyz
'x,y,z'
'-x,-y,z'
'-x,y,z'
'x,-y,z'
loop_
_atom_site_label
_atom_site_fract_x
_atom_site_fract_y
_atom_site_fract_z
Cs1 0.000 0.000 0.000
Te1 0.500 0.500 0.443
P1 0.500 0.500 0.047
Pd1 0.000 0.500 0.193
I1 0.500 0.000 0.507
```